(1)
Starting from the GGA-PBE geometry in Alexandria, the X-ray powder pattern of Sm3Er8Th was calculated for Cu Ka.

Largest 10 diffraction maxima, by angle, 10 to 90 degrees two-theta:
d = 5.554 Å, rel. 14
d = 2.830 Å, rel. 100
d = 2.774 Å, rel. 43
d = 2.550 Å, rel. 14
d = 2.493 Å, rel. 31
d = 1.983 Å, rel. 12
d = 1.760 Å, rel. 16
d = 1.634 Å, rel. 26
d = 1.415 Å, rel. 22
d = 1.385 Å, rel. 11

Crystal structure
```
Sm3Er8Th
1.0
-3.178 5.663 5.711
3.178 -5.663 5.711
3.178 5.663 -5.711
Sm Er Th
3 8 1
direct
0.000 0.000 0.000 Sm
0.258 0.500 0.758 Sm
0.742 0.500 0.242 Sm
0.080 0.829 0.251 Er
0.248 0.500 0.253 Er
0.248 0.995 0.747 Er
0.423 0.171 0.251 Er
0.577 0.829 0.749 Er
0.752 0.005 0.253 Er
0.752 0.500 0.747 Er
0.920 0.171 0.749 Er
0.500 0.000 0.500 Th
```

(2)
Starting from the GGA-PBE geometry in Alexandria, the X-ray powder pattern of Ac7TlGa5 was calculated for Cu Ka.

Largest 10 diffraction maxima, by angle, 10 to 90 degrees two-theta:
d = 4.011 Å, rel. 42
d = 3.399 Å, rel. 78
d = 3.336 Å, rel. 86
d = 3.275 Å, rel. 79
d = 2.868 Å, rel. 100
d = 2.845 Å, rel. 27
d = 2.803 Å, rel. 35
d = 2.593 Å, rel. 93
d = 2.160 Å, rel. 39
d = 1.668 Å, rel. 30

Crystal structure
```
Ac7TlGa5
1.0
-3.399 5.742 5.605
3.399 -5.742 5.605
3.399 5.742 -5.605
Ac Tl Ga
7 1 5
direct
0.000 0.000 0.000 Ac
0.005 0.695 0.309 Ac
0.382 0.382 0.000 Ac
0.386 0.695 0.691 Ac
0.453 0.131 0.322 Ac
0.810 0.131 0.678 Ac
0.887 0.387 0.500 Ac
0.692 0.692 0.000 Tl
0.165 0.210 0.536 Ga
0.165 0.629 0.955 Ga
0.406 0.906 0.500 Ga
0.675 0.210 0.045 Ga
0.675 0.629 0.464 Ga
```

(3)
Starting from the GGA-PBE geometry in Alexandria, the X-ray powder pattern of CaPaGaGe was calculated for Cu Ka.

Largest 10 diffraction maxima, by angle, 10 to 90 degrees two-theta:
d = 4.134 Å, rel. 44
d = 3.580 Å, rel. 10
d = 2.531 Å, rel. 100
d = 2.159 Å, rel. 25
d = 1.790 Å, rel. 18
d = 1.643 Å, rel. 11
d = 1.462 Å, rel. 36
d = 1.266 Å, rel. 11
d = 1.210 Å, rel. 9
d = 1.132 Å, rel. 16

Crystal structure
```
CaPaGaGe
1.0
7.160 0.000 0.000
0.000 7.160 0.000
0.000 0.000 7.160
Ca Pa Ga Ge
4 4 4 4
direct
0.000 0.000 0.000 Ca
0.000 0.500 0.500 Ca
0.500 0.000 0.500 Ca
0.500 0.500 0.000 Ca
0.000 0.000 0.500 Pa
0.000 0.500 0.000 Pa
0.500 0.000 0.000 Pa
0.500 0.500 0.500 Pa
0.250 0.250 0.250 Ga
0.250 0.750 0.750 Ga
0.750 0.250 0.750 Ga
0.750 0.750 0.250 Ga
0.250 0.250 0.750 Ge
0.250 0.750 0.250 Ge
0.750 0.250 0.250 Ge
0.750 0.750 0.750 Ge
```

(4)
Starting from the GGA-PBE geometry in Alexandria, the X-ray powder pattern of La2HoEr2Tm was calculated for Cu Ka.

Largest 10 diffraction maxima, by angle, 10 to 90 degrees two-theta:
d = 2.860 Å, rel. 91
d = 2.834 Å, rel. 100
d = 2.207 Å, rel. 12
d = 2.013 Å, rel. 33
d = 1.641 Å, rel. 35
d = 1.636 Å, rel. 19
d = 1.495 Å, rel. 29
d = 1.417 Å, rel. 12
d = 1.270 Å, rel. 14
d = 1.104 Å, rel. 11

Crystal structure
```
La2HoEr2Tm
1.0
7.040 0.000 0.000
0.000 5.667 0.000
0.000 0.000 9.820
La Ho Er Tm
4 2 4 2
direct
0.000 0.000 0.000 La
0.250 0.500 0.180 La
0.500 0.000 0.000 La
0.750 0.500 0.820 La
0.250 0.000 0.657 Ho
0.750 0.000 0.343 Ho
0.250 0.000 0.335 Er
0.250 0.500 0.833 Er
0.750 0.000 0.665 Er
0.750 0.500 0.167 Er
0.000 0.500 0.500 Tm
0.500 0.500 0.500 Tm
```

(5)
Starting from the GGA-PBE geometry in Alexandria, the X-ray powder pattern of BeBrF was calculated for Cu Ka.

Largest 10 diffraction maxima, by angle, 10 to 90 degrees two-theta:
d = 4.119 Å, rel. 100
d = 3.787 Å, rel. 17
d = 2.883 Å, rel. 57
d = 2.806 Å, rel. 46
d = 2.454 Å, rel. 13
d = 2.081 Å, rel. 15
d = 2.076 Å, rel. 15
d = 2.060 Å, rel. 13
d = 1.869 Å, rel. 18
d = 1.615 Å, rel. 13

Crystal structure
```
BeBrF
1.0
3.511 0.000 0.000
0.000 4.908 0.000
-1.732 0.000 7.575
Be Br F
2 2 2
direct
0.057 0.000 0.116 Be
0.943 0.500 0.884 Be
0.357 0.436 0.710 Br
0.643 0.936 0.290 Br
0.019 0.293 0.040 F
0.981 0.793 0.960 F
```

(6)
Starting from the GGA-PBE geometry in Alexandria, the X-ray powder pattern of Cs2Na3TlO4 was calculated for Cu Ka.

Largest 10 diffraction maxima, by angle, 10 to 90 degrees two-theta:
d = 5.174 Å, rel. 26
d = 4.716 Å, rel. 46
d = 3.702 Å, rel. 25
d = 3.068 Å, rel. 47
d = 3.020 Å, rel. 43
d = 2.998 Å, rel. 100
d = 2.990 Å, rel. 22
d = 2.929 Å, rel. 24
d = 2.587 Å, rel. 31
d = 2.351 Å, rel. 27

Crystal structure
```
Cs2Na3TlO4
1.0
6.520 0.000 0.000
0.000 10.347 0.000
-4.465 0.000 11.962
Cs Na Tl O
8 12 4 16
direct
0.214 0.231 0.111 Cs
0.214 0.269 0.611 Cs
0.226 0.001 0.867 Cs
0.226 0.499 0.367 Cs
0.774 0.501 0.633 Cs
0.774 0.999 0.133 Cs
0.786 0.731 0.389 Cs
0.786 0.769 0.889 Cs
0.113 0.744 0.197 Na
0.113 0.756 0.697 Na
0.137 0.008 0.431 Na
0.137 0.492 0.931 Na
0.411 0.527 0.795 Na
0.411 0.973 0.295 Na
0.589 0.027 0.705 Na
0.589 0.473 0.205 Na
0.863 0.508 0.069 Na
0.863 0.992 0.569 Na
0.887 0.244 0.303 Na
0.887 0.256 0.803 Na
0.402 0.718 0.063 Tl
0.402 0.782 0.563 Tl
0.598 0.218 0.437 Tl
0.598 0.282 0.937 Tl
0.236 0.558 0.124 O
0.236 0.942 0.624 O
0.250 0.178 0.347 O
0.250 0.322 0.847 O
0.272 0.690 0.880 O
0.272 0.810 0.380 O
0.282 0.599 0.609 O
0.282 0.901 0.109 O
0.718 0.099 0.891 O
0.718 0.401 0.391 O
0.728 0.190 0.620 O
0.728 0.310 0.120 O
0.750 0.678 0.153 O
0.750 0.822 0.653 O
0.764 0.058 0.376 O
0.764 0.442 0.876 O
```

(7)
Starting from the GGA-PBE geometry in Alexandria, the X-ray powder pattern of Li4Ag3Hg3 was calculated for Cu Ka.

Largest 10 diffraction maxima, by angle, 10 to 90 degrees two-theta:
d = 3.790 Å, rel. 100
d = 3.282 Å, rel. 32
d = 2.481 Å, rel. 66
d = 2.076 Å, rel. 73
d = 1.979 Å, rel. 18
d = 1.895 Å, rel. 14
d = 1.695 Å, rel. 21
d = 1.506 Å, rel. 22
d = 1.287 Å, rel. 15
d = 1.263 Å, rel. 17

Crystal structure
```
Li4Ag3Hg3
1.0
-4.641 4.641 4.641
4.641 -4.641 4.641
4.641 4.641 -4.641
Li Ag Hg
8 6 6
direct
0.000 0.241 0.500 Li
0.000 0.741 0.500 Li
0.241 0.500 0.000 Li
0.259 0.259 0.259 Li
0.500 0.000 0.241 Li
0.500 0.000 0.741 Li
0.741 0.500 0.000 Li
0.759 0.759 0.759 Li
0.125 0.750 0.875 Ag
0.250 0.625 0.375 Ag
0.375 0.250 0.625 Ag
0.625 0.375 0.250 Ag
0.750 0.875 0.125 Ag
0.875 0.125 0.750 Ag
0.125 0.875 0.250 Hg
0.250 0.125 0.875 Hg
0.375 0.625 0.750 Hg
0.625 0.750 0.375 Hg
0.750 0.375 0.625 Hg
0.875 0.250 0.125 Hg
```